# 1
AgCSO3F3: computed powder XRD pattern (Cu Kα (weighted mean of Kα1 and Kα2)), based on the PBE geometry in the Materials Project.

Cell and atoms:
```
data_AgCSO3F3
_symmetry_space_group_name_H-M 'R -3'
_symmetry_Int_Tables_number 148
_symmetry_space_group_name_Hall '-R 3'
_cell_length_a 5.4729
_cell_length_b 5.4729
_cell_length_c 33.3350
_cell_angle_alpha 90.00
_cell_angle_beta 90.00
_cell_angle_gamma 120.00
loop_
_atom_site_label
_atom_site_type_symbol
_atom_site_fract_x
_atom_site_fract_y
_atom_site_fract_z
Ag1 Ag 0.0000 0.0000 0.1653
C1 C 0.0000 0.0000 0.3880
S1 S 0.0000 0.0000 0.4446
O1 O 0.0032 0.2618 0.4555
F1 F 0.0119 0.2377 0.6256
```

Most intense lines, 10° ≤ 2θ ≤ 90°, in order of falling intensity:
two_theta, Rel. int., (hkl)
33.7, 100, 1 1 3
21.6, 74, 1 0 4
36.6, 72, 1 1 6
23.0, 67, 0 1 5
32.7, 55, 1 1 0
16.0, 49, 0 0 6

# 2
FeAg3H6C6N8: computed powder XRD pattern (Cu Kα (weighted mean of Kα1 and Kα2)), based on the PBE geometry in the Materials Project.

Cell and atoms:
```
data_FeAg3H6C6N8
_symmetry_space_group_name_H-M 'C 1 c 1'
_symmetry_Int_Tables_number 9
_cell_length_a 9.5038
_cell_length_b 12.3057
_cell_length_c 12.4339
_cell_angle_alpha 90.00
_cell_angle_beta 94.73
_cell_angle_gamma 90.00
loop_
_symmetry_equiv_pos_as_xyz
'x,y,z'
'x,-y,z+1/2'
'x+1/2,y+1/2,z'
'x+1/2,-y+1/2,z+1/2'
loop_
_atom_site_label
_atom_site_type_symbol
_atom_site_fract_x
_atom_site_fract_y
_atom_site_fract_z
Fe1 Fe 0.0000 0.2448 0.0000
Ag1 Ag 0.0288 0.3459 0.4034
Ag2 Ag 0.0468 0.4552 0.7178
Ag3 Ag 0.4723 0.3308 0.0910
H1 H 0.2735 0.0518 0.2546
H2 H 0.2786 0.0760 0.1239
H3 H 0.2919 0.3784 0.8089
H4 H 0.2939 0.0508 0.6698
H5 H 0.3106 0.4895 0.2935
H6 H 0.3166 0.4296 0.6886
C1 C 0.0240 0.3955 0.9795
C2 C 0.0382 0.2633 0.1524
C3 C 0.1934 0.2252 0.9793
C4 C 0.3043 0.2343 0.5180
C5 C 0.4619 0.2771 0.3503
C6 C 0.4724 0.4064 0.5214
N1 N 0.0403 0.4894 0.9668
N2 N 0.0563 0.2753 0.2465
N3 N 0.1830 0.2266 0.5310
N4 N 0.2679 0.4419 0.7578
N5 N 0.3146 0.2173 0.9658
N6 N 0.3195 0.0285 0.1868
N7 N 0.4427 0.2925 0.2567
N8 N 0.4524 0.4994 0.5351
```

Most intense lines, 10° ≤ 2θ ≤ 90°, in order of falling intensity:
two_theta, Rel. int., (hkl)
18.7, 100, 2 0 0
11.8, 59, 1 1 0
20.3, 41, 0 2 2
26.0, 38, 0 2 3
29.9, 29, 0 4 1
27.3, 27, 1 3 -2

# 3
AgH3CN2: computed powder XRD pattern (Cu Kα (weighted mean of Kα1 and Kα2)), based on the PBE geometry in the Materials Project.

Cell and atoms:
```
data_AgH3CN2
_symmetry_space_group_name_H-M 'P b c m'
_symmetry_Int_Tables_number 57
_cell_length_a 4.3304
_cell_length_b 15.6319
_cell_length_c 5.8535
_cell_angle_alpha 90.00
_cell_angle_beta 90.00
_cell_angle_gamma 90.00
loop_
_symmetry_equiv_pos_as_xyz
'x,y,z'
'-x,-y,-z'
'-x,-y,z+1/2'
'x,y,-z+1/2'
'x,-y+1/2,-z'
'-x,y+1/2,z'
'-x,y+1/2,-z+1/2'
'x,-y+1/2,z+1/2'
loop_
_atom_site_label
_atom_site_type_symbol
_atom_site_fract_x
_atom_site_fract_y
_atom_site_fract_z
Ag1 Ag 0.2492 0.0240 0.2500
H1 H 0.1582 0.1990 0.2500
H2 H 0.4752 0.1733 0.1097
C1 C 0.1733 0.6038 0.7500
N1 N 0.1276 0.6779 0.7500
N2 N 0.3447 0.1585 0.2500
```

Most intense lines, 10° ≤ 2θ ≤ 90°, in order of falling intensity:
two_theta, Rel. int., (hkl)
26.2, 100, 1 1 1
11.3, 80, 0 2 0
30.5, 23, 0 0 2
30.9, 21, 1 3 1
32.7, 15, 0 2 2
38.7, 14, 1 5 1